Calculated powder XRD pattern
Compound: Ag3Hg2Br7
Radiation: CuKα
Structure: a cell relaxed with GGA-PBE
No peak broadening, texture or thermal motion is included.

Cell and atoms:
```
Ag3Hg2Br7
1.0
14.1800 -3.9452 0.0000
14.1800 3.9452 0.0000
0.0000 0.0000 6.9915
Ag Hg Br
6 4 14
direct
0.1145 0.4512 0.6158
0.1600 0.8400 0.5000
0.4512 0.1145 0.1158
0.5488 0.8855 0.6158
0.8400 0.1600 0.0000
0.8855 0.5488 0.1158
0.1438 0.6483 0.0492
0.3517 0.8562 0.0492
0.6483 0.1438 0.5492
0.8562 0.3517 0.5492
0.0151 0.2705 0.2572
0.1372 0.4496 0.2306
0.1628 0.8372 0.8841
0.2705 0.0151 0.7572
0.3020 0.5593 0.3484
0.4407 0.6980 0.3484
0.4496 0.1372 0.7306
0.5504 0.8628 0.2306
0.5593 0.3020 0.8484
0.6980 0.4407 0.8484
0.7295 0.9849 0.2572
0.8372 0.1628 0.3841
0.8628 0.5504 0.7306
0.9849 0.7295 0.7572
```

Main lines, in order of rising 2θ (10 to 80 degrees two-theta):
- d = 5.146 Å, I = 25
- d = 3.945 Å, I = 45
- d = 3.846 Å, I = 100
- d = 3.604 Å, I = 45
- d = 3.437 Å, I = 28
- d = 3.394 Å, I = 32
- d = 3.204 Å, I = 21
- d = 2.453 Å, I = 26
- d = 2.205 Å, I = 42
- d = 2.079 Å, I = 43

=====

Calculated powder XRD pattern
Compound: TcSnHF
Radiation: CuKα
Structure: a cell relaxed with GGA-PBE
No peak broadening, texture or thermal motion is included.

Cell and atoms:
```
TcSnHF
1.0
5.6902 -1.6323 0.0000
5.6902 1.6323 0.0000
-0.6180 0.0000 3.2915
Tc Sn H F
1 1 1 1
direct
0.0000 0.0000 0.0000
0.3779 0.3779 0.4256
0.5594 0.5594 0.9642
0.1923 0.1923 0.3148
```

Main lines, in order of rising 2θ (10 to 80 degrees two-theta):
- d = 5.593 Å, I = 100
- d = 3.134 Å, I = 28
- d = 3.098 Å, I = 21
- d = 2.632 Å, I = 24
- d = 2.456 Å, I = 43
- d = 2.356 Å, I = 23
- d = 2.331 Å, I = 62
- d = 2.213 Å, I = 27
- d = 1.960 Å, I = 18
- d = 1.845 Å, I = 29